# 1
BeCu5: theoretical X-ray diffraction stick pattern (copper Kα), based on a crystal structure in Alexandria, relaxed with PBE.

Atomic structure:
a b c (Å): 4.387 4.387 4.078
angles (deg): 90.00 90.00 120.00
Sites, in units of the cell vectors:
Be (0.000, 0.000, 0.000)
Cu (0.000, 0.675, 0.500)
Cu (0.325, 0.325, 0.500)
Cu (0.333, 0.667, 0.000)
Cu (0.667, 0.333, 0.000)
Cu (0.675, 0.000, 0.500)

The 6 most intense peaks (2θ from 10° to 90°), by angle:
2θ/deg	intensity
32.2	16
41.2	27
44.4	26
47.0	100
62.2	15
83.7	16

=====

# 2
Er7PdSe5: theoretical X-ray diffraction stick pattern (copper Kα), based on a crystal structure in Alexandria, relaxed with PBE.

Atomic structure:
a b c (Å): 6.906 6.906 24.222
angles (deg): 90.00 90.00 146.87
Sites, in units of the cell vectors:
Er (0.040, 0.960, 0.500)
Er (0.138, 0.862, 0.212)
Er (0.139, 0.861, 0.789)
Er (0.298, 0.702, 0.431)
Er (0.299, 0.701, 0.570)
Er (0.409, 0.591, 0.132)
Er (0.410, 0.590, 0.868)
Er (0.590, 0.410, 0.368)
Er (0.591, 0.409, 0.632)
Er (0.701, 0.299, 0.070)
Er (0.702, 0.298, 0.931)
Er (0.861, 0.139, 0.289)
Er (0.862, 0.138, 0.712)
Er (0.960, 0.040, 0.000)
Pd (0.304, 0.696, 0.000)
Pd (0.696, 0.304, 0.500)
Se (0.055, 0.945, 0.106)
Se (0.056, 0.944, 0.894)
Se (0.220, 0.780, 0.321)
Se (0.221, 0.779, 0.680)
Se (0.500, 0.500, 0.250)
Se (0.500, 0.500, 0.750)
Se (0.779, 0.221, 0.180)
Se (0.780, 0.220, 0.821)
Se (0.944, 0.056, 0.394)
Se (0.945, 0.055, 0.606)

The 6 most intense peaks (2θ from 10° to 90°), by angle:
2θ/deg	intensity
27.9	30
29.1	76
31.3	88
32.5	100
41.2	37
46.1	34

=====

# 3
PaGaSnGe: theoretical X-ray diffraction stick pattern (copper Kα), based on a crystal structure in Alexandria, relaxed with PBE.

Atomic structure:
a b c (Å): 4.242 4.384 4.608
angles (deg): 90.00 90.00 90.00
Sites, in units of the cell vectors:
Pa (0.000, 0.000, 0.000)
Ga (0.500, 0.000, 0.500)
Sn (0.000, 0.500, 0.500)
Ge (0.500, 0.500, 0.000)

The 6 most intense peaks (2θ from 10° to 90°), by angle:
2θ/deg	intensity
20.9	14
35.3	100
39.1	19
41.2	16
42.6	15
68.4	15